(1)
Calculated powder diffractogram
Compound: Pm2Be15Co2
Radiation: Cu Kα, 1.54184 Å
Structure: a PBE-relaxed structure
Lines closer than 0.1° are merged.

Crystal structure
a b c (Å): 7.8954 7.8954 11.4315
angles (deg): 90.00 90.00 120.00
Space group R-3m (No. 166, hexagonal axes)
Asymmetric unit:
Pm: 0.0000 0.0000 0.1562 x6
Be: 0.0000 0.2693 0.5000 x18
Be: 0.0000 0.5000 0.0000 x9
Be: 0.0177 0.5089 0.3379 x18
Co: 0.0000 0.0000 0.3997 x6

Peak list (10 most intense, 10° ≤ 2θ ≤ 90°, sorted by position)
22.52°, I = 100, (1 1 0); 23.34°, I = 11, (0 0 3); 32.66°, I = 34, (1 1 3); 34.00°, I = 22, (1 0 4); 39.54°, I = 28, (3 0 0); 41.17°, I = 15, (0 2 4); 45.98°, I = 21, (2 2 0); 46.42°, I = 17, (3 0 3); 47.43°, I = 18, (2 1 4); 62.22°, I = 13, (4 1 0)

***

(2)
Calculated powder diffractogram
Compound: AcY2Ho6
Radiation: Cu Kα, 1.54184 Å
Structure: a PBE-relaxed structure
Lines closer than 0.1° are merged.

Crystal structure
a b c (Å): 3.6276 3.6276 26.3443
angles (deg): 90.00 90.00 120.00
Space group P-6m2 (No. 187)
Asymmetric unit:
Ac: 0.0000 0.0000 0.0000 x1
Y: 0.3333 0.6667 0.3309 x2
Ho: 0.0000 0.0000 0.2227 x2
Ho: 0.0000 0.0000 0.4363 x2
Ho: 0.3333 0.6667 0.1176 x2

Peak list (10 most intense, 10° ≤ 2θ ≤ 90°, sorted by position)
28.41°, I = 58, (1 0 0); 30.54°, I = 49, (0 0 9); 31.55°, I = 87, (1 0 4); 33.20°, I = 100, (1 0 5); 42.20°, I = 37, (1 0 9); 50.31°, I = 40, (1 1 0); 57.05°, I = 25, (1 0 14); 60.00°, I = 44, (1 1 9); 61.61°, I = 17, (2 0 5); 83.45°, I = 15, (2 1 5)

***

(3)
Calculated powder diffractogram
Compound: LiZrUS4
Radiation: Cu Kα, 1.54184 Å
Structure: a PBE-relaxed structure
Lines closer than 0.1° are merged.

Crystal structure
a b c (Å): 7.482 8.010 10.856
angles (deg): 90.00 90.00 90.00
Space group Imma (No. 74)
Asymmetric unit:
Li: 0.000 0.250 0.134 x4
Zr: 0.250 0.250 0.750 x4
U: 0.000 0.000 0.500 x4
S: 0.000 0.021 0.749 x8
S: 0.244 0.250 0.510 x8

Peak list (10 most intense, 10° ≤ 2θ ≤ 90°, sorted by position)
13.74°, I = 25, (0 1 1); 14.38°, I = 100, (1 0 1); 26.55°, I = 50, (1 2 1); 27.38°, I = 24, (1 0 3); 27.68°, I = 15, (0 2 2); 32.76°, I = 56, (2 2 0); 33.00°, I = 28, (0 0 4); 35.52°, I = 22, (1 2 3); 43.56°, I = 15, (3 2 1); 47.19°, I = 41, (2 2 4)

***

(4)
Calculated powder diffractogram
Compound: Y10Tm4Th
Radiation: Cu Kα, 1.54184 Å
Structure: a PBE-relaxed structure
Lines closer than 0.1° are merged.

Crystal structure
a b c (Å): 9.787 9.787 10.349
angles (deg): 90.00 90.00 90.00
Space group I4/m (No. 87)
Asymmetric unit:
Y: 0.000 0.500 0.250 x4
Y: 0.113 0.212 0.162 x16
Tm: 0.071 0.334 0.500 x8
Th: 0.000 0.000 0.500 x2

Peak list (10 most intense, 10° ≤ 2θ ≤ 90°, sorted by position)
22.05°, I = 28, (1 2 1); 27.41°, I = 74, (1 0 3); 28.69°, I = 95, (3 0 1); 28.85°, I = 74, (1 3 0); 33.06°, I = 74, (2 1 3); 33.75°, I = 100, (1 3 2); 34.15°, I = 59, (3 2 1); 42.37°, I = 26, (2 3 3); 44.97°, I = 35, (2 4 2); 58.01°, I = 25, (1 6 1)

***

(5)
Calculated powder diffractogram
Compound: Pr6As4Se
Radiation: Cu Kα, 1.54184 Å
Structure: a PBE-relaxed structure
Lines closer than 0.1° are merged.

Crystal structure
a b c (Å): 12.0127 12.0127 15.0311
angles (deg): 90.00 90.00 120.00
Space group R-3c (No. 167, hexagonal axes)
Asymmetric unit:
Pr: 0.0257 0.1983 0.3825 x36
As: 0.0000 0.0000 0.2500 x6
As: 0.0000 0.3850 0.2500 x18
Se: 0.0000 0.0000 0.0000 x6

Peak list (10 most intense, 10° ≤ 2θ ≤ 90°, sorted by position)
23.38°, I = 40, (2 1 1); 25.20°, I = 37, (1 0 4); 29.32°, I = 22, (0 2 4); 31.57°, I = 79, (1 3 1); 32.97°, I = 73, (2 1 4); 34.83°, I = 100, (2 2 3); 37.67°, I = 29, (1 2 5); 39.69°, I = 31, (4 1 0); 45.00°, I = 19, (3 2 4); 52.80°, I = 18, (6 0 0)

***

(6)
Calculated powder diffractogram
Compound: HgBi3Pt4
Radiation: Cu Kα, 1.54184 Å
Structure: a PBE-relaxed structure
Lines closer than 0.1° are merged.

Crystal structure
a b c (Å): 5.368 7.858 8.665
angles (deg): 90.00 90.00 90.00
Space group Imm2 (No. 44)
Asymmetric unit:
Hg: 0.000 0.000 0.000 x2
Bi: 0.000 0.267 0.407 x4
Bi: 0.000 0.500 0.082 x2
Pt: 0.000 0.180 0.716 x4
Pt: 0.239 0.500 0.778 x4

Peak list (10 most intense, 10° ≤ 2θ ≤ 90°, sorted by position)
30.01°, I = 100, (1 2 1); 33.04°, I = 28, (0 1 3); 33.38°, I = 21, (2 0 0); 35.29°, I = 61, (1 0 3); 35.81°, I = 26, (0 3 1); 36.88°, I = 42, (2 1 1); 43.76°, I = 27, (1 3 2); 46.00°, I = 45, (2 2 2); 47.96°, I = 25, (0 2 4); 74.59°, I = 22, (2 3 5)

***

(7)
Calculated powder diffractogram
Compound: DyHf4Os5
Radiation: Cu Kα, 1.54184 Å
Structure: a PBE-relaxed structure
Lines closer than 0.1° are merged.

Crystal structure
a b c (Å): 3.271 3.271 16.550
angles (deg): 90.00 90.00 90.00
Space group P4/mmm (No. 123)
Asymmetric unit:
Dy: 0.000 0.000 0.000 x1
Hf: 0.000 0.000 0.204 x2
Hf: 0.000 0.000 0.401 x2
Os: 0.500 0.500 0.113 x2
Os: 0.500 0.500 0.306 x2
Os: 0.500 0.500 0.500 x1

Peak list (10 most intense, 10° ≤ 2θ ≤ 90°, sorted by position)
38.70°, I = 100, (1 0 5); 38.94°, I = 51, (1 1 0); 42.89°, I = 2, (1 0 6); 55.53°, I = 8, (0 0 10); 56.24°, I = 18, (2 0 0); 69.89°, I = 16, (1 1 10); 70.36°, I = 35, (2 1 5); 75.36°, I = 1, (1 1 11); 83.01°, I = 10, (2 0 10); 83.60°, I = 6, (2 2 0)

***

(8)
Calculated powder diffractogram
Compound: LaPm2Ho4
Radiation: Cu Kα, 1.54184 Å
Structure: a PBE-relaxed structure
Lines closer than 0.1° are merged.

Crystal structure
a b c (Å): 7.783 7.783 8.156
angles (deg): 90.00 90.00 90.00
Space group P4/mmm (No. 123)
Asymmetric unit:
La: 0.000 0.000 0.000 x1
La: 0.000 0.000 0.500 x1
Pm: 0.000 0.500 0.000 x2
Pm: 0.500 0.500 0.000 x1
Pm: 0.500 0.500 0.500 x1
Ho: 0.252 0.252 0.279 x8

Peak list (10 most intense, 10° ≤ 2θ ≤ 90°, sorted by position)
25.36°, I = 11, (2 0 1); 31.79°, I = 100, (2 0 2); 32.54°, I = 51, (2 2 0); 44.43°, I = 8, (0 0 4); 46.68°, I = 19, (4 0 0); 56.15°, I = 16, (2 2 4); 57.58°, I = 37, (4 2 2); 66.41°, I = 9, (4 0 4); 77.17°, I = 8, (6 0 2); 77.58°, I = 8, (6 2 0)

***

(9)
Calculated powder diffractogram
Compound: Ba2ZnInAu6
Radiation: Cu Kα, 1.54184 Å
Structure: a PBE-relaxed structure
Lines closer than 0.1° are merged.

Crystal structure
a b c (Å): 7.350 7.350 10.350
angles (deg): 90.00 90.00 90.00
Space group I4/mmm (No. 139)
Asymmetric unit:
Ba: 0.000 0.500 0.250 x4
Zn: 0.000 0.000 0.000 x2
In: 0.000 0.000 0.500 x2
Au: 0.000 0.000 0.241 x4
Au: 0.241 0.241 0.000 x8

Peak list (10 most intense, 10° ≤ 2θ ≤ 90°, sorted by position)
17.09°, I = 18, (1 1 0); 29.82°, I = 100, (2 0 2); 34.52°, I = 58, (2 2 0); 34.67°, I = 29, (0 0 4); 49.61°, I = 21, (4 0 0); 49.73°, I = 41, (2 2 4); 58.97°, I = 29, (4 2 2); 59.17°, I = 14, (2 0 6); 61.94°, I = 21, (4 0 4); 83.16°, I = 18, (6 2 0)

***

(10)
Calculated powder diffractogram
Compound: Ba2Li5Tl5
Radiation: Cu Kα, 1.54184 Å
Structure: a PBE-relaxed structure
Lines closer than 0.1° are merged.

Crystal structure
a b c (Å): 4.964 6.096 11.109
angles (deg): 90.00 90.00 90.00
Space group Pmmm (No. 47)
Asymmetric unit:
Ba: 0.000 0.000 0.000 x1
Ba: 0.000 0.500 0.500 x1
Li: 0.500 0.000 0.500 x1
Li: 0.500 0.246 0.244 x4
Tl: 0.000 0.000 0.335 x2
Tl: 0.000 0.500 0.186 x2
Tl: 0.500 0.500 0.000 x1

Peak list (10 most intense, 10° ≤ 2θ ≤ 90°, sorted by position)
17.87°, I = 53, (1 0 0); 28.20°, I = 43, (0 1 3); 29.30°, I = 36, (0 2 0); 33.58°, I = 100, (1 1 3); 34.53°, I = 23, (1 2 0); 36.19°, I = 22, (2 0 0); 46.50°, I = 18, (2 1 3); 47.22°, I = 20, (2 2 0); 54.75°, I = 25, (1 3 3); 63.43°, I = 18, (3 1 3)